Structure and calculated powder diffractogram of Mo3H (a structure optimized by DFT (PBE); copper Kα).
Intensities are scaled so that the largest is 1000.

Largest 10 diffraction maxima, in order of falling intensity, 2θ from 15° to 90°:
d/Å  I/Imax
2.149  1000
1.241  328
3.510  281
1.520  160
3.040  145
1.833  130
1.395  52
1.359  48
1.170  40
1.755  37

Structural model:
```
data_Mo3H
_symmetry_space_group_name_H-M 'F m -3 m'
_symmetry_Int_Tables_number 225
_symmetry_space_group_name_Hall '-F 4 2 3'
_cell_length_a 6.0791
_cell_length_b 6.0791
_cell_length_c 6.0791
_cell_angle_alpha 90.00
_cell_angle_beta 90.00
_cell_angle_gamma 90.00
loop_
_atom_site_label
_atom_site_type_symbol
_atom_site_fract_x
_atom_site_fract_y
_atom_site_fract_z
Mo1 Mo 0.0000 0.0000 0.0000
Mo2 Mo 0.2500 0.2500 0.2500
H1 H 0.0000 0.0000 0.5000
```